Diffraction record for FeCuNi. The X-ray powder pattern is calculated, not measured: it uses a DFT-relaxed cell (PBE, Alexandria) and copper Kα.

Atomic structure:
Cell: 2.499 4.391 6.758 Å, 78.04 79.39 73.62°
Positions (direct):
1 Fe 0.168 0.251 0.410
2 Fe 0.832 0.749 0.590
3 Cu 0.499 0.757 0.246
4 Cu 0.501 0.243 0.754
5 Ni 0.170 0.744 0.916
6 Ni 0.830 0.256 0.084

Most intense lines, 15 to 90 degrees two-theta, sorted by position:
27.23 deg, I 1
43.54 deg, I 100
44.00 deg, I 97
50.30 deg, I 32
51.26 deg, I 30
51.40 deg, I 30
74.68 deg, I 26
74.85 deg, I 17
76.21 deg, I 8
89.86 deg, I 11


Diffraction record for AcIn2Ag2Sn. The X-ray powder pattern is calculated, not measured: it uses a DFT-relaxed cell (PBE, Alexandria) and copper Kα.

Atomic structure:
Cell: 5.378 5.378 12.381 Å, 90.00 90.00 90.00°
Positions (direct):
1 Ac 0.000 0.000 0.000
2 Ac 0.500 0.500 0.500
3 In 0.000 0.500 0.250
4 In 0.000 0.500 0.750
5 In 0.500 0.000 0.250
6 In 0.500 0.000 0.750
7 Ag 0.000 0.000 0.281
8 Ag 0.000 0.000 0.719
9 Ag 0.500 0.500 0.219
10 Ag 0.500 0.500 0.781
11 Sn 0.000 0.000 0.500
12 Sn 0.500 0.500 0.000

Most intense lines, 15 to 90 degrees two-theta, sorted by position:
23.39 deg, I 42
27.24 deg, I 26
27.53 deg, I 68
28.84 deg, I 62
33.32 deg, I 100
37.46 deg, I 17
44.64 deg, I 75
47.83 deg, I 36
50.31 deg, I 23
56.08 deg, I 20
56.82 deg, I 36
86.90 deg, I 23